Starting from a GGA-PBE-relaxed structure, the X-ray diffraction stick pattern of K3Cd2Hg5 was calculated for λ = 1.5418 Å (Cu Kα).
No peak broadening, texture or thermal motion is included.

Structure:
```
20
Lattice="11.8485 0.0000 0.0000 0.0000 11.8485 0.0000 0.0000 0.0000 4.6345" Properties=species:S:1:pos:R:3 pbc="T T T"
K 0.0000 0.0000 0.0000
K 2.0864 3.8378 0.0000
K 3.8378 9.7621 0.0000
K 5.9243 5.9243 0.0000
K 8.0107 2.0864 0.0000
K 9.7621 8.0107 0.0000
Cd 1.3720 7.2962 0.0000
Cd 4.5523 1.3720 0.0000
Cd 7.2962 10.4765 0.0000
Cd 10.4765 4.5523 0.0000
Hg 0.0000 5.9243 2.3172
Hg 0.9080 9.3767 2.3172
Hg 2.4718 0.9080 2.3172
Hg 3.4524 6.8322 2.3172
Hg 5.0163 3.4524 2.3172
Hg 5.9243 0.0000 2.3172
Hg 6.8322 8.3961 2.3172
Hg 8.3961 5.0163 2.3172
Hg 9.3767 10.9405 2.3172
Hg 10.9405 2.4718 2.3172
```

Top 10 peaks for 10 to 90 degrees two-theta, sorted by position:
Position (°2θ)	d_spacing	I_rel	hkl
16.73	5.299	56.1	2 1 0
19.15	4.634	41.2	0 0 1
30.68	2.914	100.0	3 1 1
31.12	2.874	50.6	4 1 0
33.43	2.681	84.4	3 2 1
36.80	2.442	29.0	4 1 1
38.86	2.317	32.4	0 0 2
50.60	1.804	26.0	4 1 2
58.58	1.576	24.5	7 1 1
69.19	1.358	24.2	5 5 2